This entry pairs a crystal structure of SmErMn with its simulated powder XRD pattern. Radiation: Cu Kα (λ = 1.5418 Å). Structure: the GGA-PBE geometry in Alexandria.
Intensities are scaled so that the largest is 100.

Crystal structure
a = 6.838 Å, b = 6.838 Å, c = 6.838 Å
α = 150.31°, β = 150.31°, γ = 42.49°
Atoms (fractional coordinates):
Sm  0.000  0.000  0.000
Er  0.274  0.274  0.000
Mn  0.642  0.642  0.000

Largest 6 diffraction maxima, low angle first, 2θ = 10–90°:
Position (°2θ), I/Imax
26.38, 38
28.00, 22
33.14, 100
36.25, 52
46.42, 23
63.24, 30